Starting from the GGA-PBE geometry in the Materials Project, the PXRD pattern of Na2B2Se7 was simulated for Cu Kα X-rays.
Kinematic intensities with the Lorentz-polarization factor, no thermal factor.

Crystal structure
Lattice parameters (Å, degrees): 15.074 6.870 12.070 90.00 119.20 90.00
Space group C2/c (No. 15)
Unique sites:
Na1 0.110 0.217 0.043 [8 per cell]
B1 0.118 0.280 0.350 [8 per cell]
Se1 0.000 0.475 0.250 [4 per cell]
Se2 0.087 0.003 0.276 [8 per cell]
Se3 0.121 0.320 0.520 [8 per cell]
Se4 0.238 0.383 0.332 [8 per cell]

Top 6 peaks for 10 to 80 degrees two-theta, in order of falling intensity:
| 2θ (°) | I_rel | h k l |
| --- | --- | --- |
| 32.42 | 100.0 | 5 1 -2 |
| 15.07 | 83.3 | 1 1 -1 |
| 31.08 | 72.9 | 0 2 2 |
| 29.76 | 63.4 | 2 0 -4 |
| 23.90 | 33.5 | 4 0 -2 |
| 30.41 | 29.9 | 2 2 -2 |



Starting from the GGA-PBE geometry in the Materials Project, the PXRD pattern of Lu2O3 was simulated for Cu Kα X-rays.
Kinematic intensities with the Lorentz-polarization factor, no thermal factor.

Crystal structure
Lattice parameters (Å, degrees): 13.770 3.392 8.420 90.00 100.47 90.00
Space group C2/m (No. 12)
Unique sites:
Lu1 0.032 0.000 0.315 [4 per cell]
Lu2 0.135 0.500 0.988 [4 per cell]
Lu3 0.192 0.500 0.637 [4 per cell]
O1 0.000 0.500 0.500 [2 per cell]
O2 0.030 0.500 0.158 [4 per cell]
O3 0.127 0.000 0.781 [4 per cell]
O4 0.174 0.000 0.468 [4 per cell]
O5 0.207 0.000 0.122 [4 per cell]

Top 6 peaks for 10 to 80 degrees two-theta, in order of falling intensity:
| 2θ (°) | I_rel | h k l |
| --- | --- | --- |
| 33.03 | 100.0 | 3 1 0 |
| 30.93 | 99.7 | 4 0 -2 |
| 34.05 | 97.9 | 1 1 -2 |
| 30.28 | 96.1 | 4 0 1 |
| 29.66 | 88.6 | 1 1 1 |
| 32.44 | 64.6 | 0 0 3 |



Starting from the GGA-PBE geometry in the Materials Project, the PXRD pattern of MgCuP2O7 was simulated for Cu Kα X-rays.
Kinematic intensities with the Lorentz-polarization factor, no thermal factor.

Crystal structure
Lattice parameters (Å, degrees): 6.206 6.316 7.017 68.32 79.98 80.75
Space group P-1 (No. 2)
Unique sites:
Mg1 0.105 0.219 0.339 [2 per cell]
Cu1 0.321 0.405 0.717 [2 per cell]
P1 0.172 0.730 0.249 [2 per cell]
P2 0.376 0.867 0.805 [2 per cell]
O1 0.004 0.569 0.256 [2 per cell]
O2 0.074 0.891 0.367 [2 per cell]
O3 0.235 0.893 0.018 [2 per cell]
O4 0.244 0.715 0.749 [2 per cell]
O5 0.357 0.116 0.653 [2 per cell]
O6 0.370 0.570 0.337 [2 per cell]
O7 0.391 0.231 0.149 [2 per cell]

Top 6 peaks for 10 to 80 degrees two-theta, in order of falling intensity:
| 2θ (°) | I_rel | h k l |
| --- | --- | --- |
| 27.59 | 100.0 | 0 0 2 |
| 30.91 | 43.2 | 2 0 1 |
| 30.03 | 39.5 | 1 2 1 |
| 28.81 | 33.0 | 0 2 1 |
| 16.50 | 27.8 | 0 1 1 |
| 34.13 | 21.2 | 2 0 -1 |



Starting from the GGA-PBE geometry in the Materials Project, the PXRD pattern of TlRe3Se4Cl2 was simulated for Cu Kα X-rays.
Kinematic intensities with the Lorentz-polarization factor, no thermal factor.

Crystal structure
Lattice parameters (Å, degrees): 6.686 9.112 9.164 85.23 82.56 69.44
Space group P-1 (No. 2)
Unique sites:
Tl1 0.179 0.140 0.469 [2 per cell]
Re1 0.273 0.424 0.022 [2 per cell]
Re2 0.326 0.678 0.104 [2 per cell]
Re3 0.408 0.602 0.821 [2 per cell]
Se1 0.025 0.710 0.945 [2 per cell]
Se2 0.202 0.495 0.291 [2 per cell]
Se3 0.360 0.352 0.754 [2 per cell]
Se4 0.464 0.843 0.906 [2 per cell]
Cl1 0.097 0.911 0.239 [2 per cell]
Cl2 0.295 0.739 0.587 [2 per cell]

Top 6 peaks for 10 to 80 degrees two-theta, in order of falling intensity:
| 2θ (°) | I_rel | h k l |
| --- | --- | --- |
| 10.38 | 100.0 | 0 1 0 |
| 13.96 | 77.5 | 0 1 1 |
| 14.51 | 66.0 | 0 1 -1 |
| 44.28 | 45.4 | 3 3 0 |
| 16.36 | 42.4 | 1 0 1 |
| 43.01 | 39.5 | 2 1 -3 |